(1)
Theoretical powder X-ray diffraction pattern of LaTb2 for λ = 1.5418 Å (Cu Kα), from the PBE geometry in Alexandria.

Crystal structure
```
data_LaTb2
_chemical_formula_sum 'La2 Tb4'
_cell_length_a 6.332
_cell_length_b 3.651
_cell_length_c 8.975
_cell_angle_alpha 90.00
_cell_angle_beta 103.67
_cell_angle_gamma 90.00
_space_group_name_H-M_alt 'C 1 2/m 1'
_space_group_IT_number 12
_space_group_name_Hall '-C 2y'
loop_
_atom_site_label
_atom_site_type_symbol
_atom_site_fract_x
_atom_site_fract_y
_atom_site_fract_z
La1 La 0.000 0.000 0.000
Tb1 Tb 0.220 0.000 0.662
```

Top 12 peaks for 15 to 90 degrees two-theta, most intense first:
two_theta, I_rel, hkl
31.4, 100, 2 0 -2
33.1, 95, 2 0 1
30.8, 52, 0 0 3
59.8, 47, 0 2 3
49.9, 41, 0 2 0
28.4, 36, 1 1 0
29.0, 22, 1 1 -1
57.3, 21, 2 0 4
54.0, 20, 2 0 -5
61.2, 16, 2 2 1
60.2, 16, 2 2 -2
82.8, 14, 5 1 0


(2)
Theoretical powder X-ray diffraction pattern of Pu2SiGePd6 for λ = 1.5418 Å (Cu Kα), from the PBE geometry in Alexandria.

Crystal structure
```
data_Pu2SiGePd6
_chemical_formula_sum 'Pu4 Si2 Ge2 Pd12'
_cell_length_a 5.548
_cell_length_b 8.647
_cell_length_c 8.193
_cell_angle_alpha 90.00
_cell_angle_beta 90.00
_cell_angle_gamma 90.00
_space_group_name_H-M_alt 'P m m n'
_space_group_IT_number 59
loop_
_space_group_symop_operation_xyz
'x,y,z'
'-x,-y,-z'
'-x+1/2,-y+1/2,z'
'x+1/2,y+1/2,-z'
'x+1/2,-y,-z'
'-x+1/2,y,z'
'-x,y+1/2,-z'
'x,-y+1/2,z'
loop_
_atom_site_label
_atom_site_type_symbol
_atom_site_fract_x
_atom_site_fract_y
_atom_site_fract_z
Pu1 Pu 0.250 0.004 0.231
Si1 Si 0.250 0.250 0.748
Ge1 Ge 0.250 0.750 0.766
Pd1 Pd 0.001 0.250 0.985
Pd2 Pd 0.001 0.750 0.499
Pd3 Pd 0.250 0.001 0.615
```

Top 12 peaks for 15 to 90 degrees two-theta, most intense first:
two_theta, I_rel, hkl
30.1, 100, 0 2 2
38.6, 93, 2 2 0
39.2, 80, 2 0 2
28.3, 73, 1 2 1
42.4, 72, 1 2 3
41.8, 54, 0 4 0
58.6, 49, 2 4 2
34.2, 30, 1 2 2
36.7, 28, 1 0 3
27.1, 23, 1 0 2
19.3, 22, 1 0 1
64.6, 21, 3 2 3


(3)
Theoretical powder X-ray diffraction pattern of Li6Ga10Ni for λ = 1.5418 Å (Cu Kα), from the PBE geometry in Alexandria.

Crystal structure
```
data_Li6Ga10Ni
_chemical_formula_sum 'Li6 Ga10 Ni1'
_cell_length_a 7.7024
_cell_length_b 7.7024
_cell_length_c 5.3124
_cell_angle_alpha 90.00
_cell_angle_beta 90.00
_cell_angle_gamma 120.00
_space_group_name_H-M_alt 'P -3 1 m'
_space_group_IT_number 162
_space_group_name_Hall '-P 3 2'
loop_
_atom_site_label
_atom_site_type_symbol
_atom_site_fract_x
_atom_site_fract_y
_atom_site_fract_z
Li1 Li 0.0000 0.3816 0.2882
Ga1 Ga 0.0000 0.2537 0.7926
Ga2 Ga 0.3333 0.6667 0.0000
Ga3 Ga 0.3333 0.6667 0.5000
Ni1 Ni 0.0000 0.0000 0.5000
```

Top 12 peaks for 15 to 90 degrees two-theta, most intense first:
two_theta, I_rel, hkl
41.3, 100, 1 1 2
28.6, 79, 2 -1 1
39.6, 75, 3 -1 1
40.6, 57, 3 0 0
23.1, 30, 1 1 0
59.3, 29, 4 -2 2
26.7, 27, 2 0 0
35.6, 27, 2 1 0
64.0, 21, 4 1 0
36.4, 20, 1 0 2
63.2, 19, 3 2 1
66.2, 17, 4 0 2


(4)
Theoretical powder X-ray diffraction pattern of RbAl9Ag4 for λ = 1.5418 Å (Cu Kα), from the PBE geometry in Alexandria.

Crystal structure
```
data_RbAl9Ag4
_chemical_formula_sum 'Rb4 Al36 Ag16'
_cell_length_a 9.032
_cell_length_b 9.032
_cell_length_c 13.311
_cell_angle_alpha 90.00
_cell_angle_beta 90.00
_cell_angle_gamma 90.00
_space_group_name_H-M_alt 'I 4/m c m'
_space_group_IT_number 140
_space_group_name_Hall '-I 4 2c'
loop_
_atom_site_label
_atom_site_type_symbol
_atom_site_fract_x
_atom_site_fract_y
_atom_site_fract_z
Rb1 Rb 0.000 0.000 0.250
Al1 Al 0.000 0.500 0.000
Al2 Al 0.067 0.203 0.000
Al3 Al 0.122 0.378 0.177
Ag1 Ag 0.173 0.327 0.375
```

Top 12 peaks for 15 to 90 degrees two-theta, most intense first:
two_theta, I_rel, hkl
23.0, 100, 2 1 1
33.4, 86, 2 0 4
41.8, 80, 4 1 1
40.6, 78, 2 1 5
31.3, 64, 3 1 0
29.9, 60, 2 1 3
50.9, 46, 3 3 4
34.2, 40, 3 1 2
42.5, 35, 3 3 0
30.3, 34, 1 1 4
72.0, 31, 6 2 4
19.7, 28, 2 0 0


(5)
Theoretical powder X-ray diffraction pattern of Ba2Ga3Ag5 for λ = 1.5418 Å (Cu Kα), from the PBE geometry in Alexandria.

Crystal structure
```
data_Ba2Ga3Ag5
_chemical_formula_sum 'Ba2 Ga3 Ag5'
_cell_length_a 4.610
_cell_length_b 4.610
_cell_length_c 11.498
_cell_angle_alpha 90.00
_cell_angle_beta 90.00
_cell_angle_gamma 90.00
_space_group_name_H-M_alt 'P -4 m 2'
_space_group_IT_number 115
_space_group_name_Hall 'P -4 -2'
loop_
_atom_site_label
_atom_site_type_symbol
_atom_site_fract_x
_atom_site_fract_y
_atom_site_fract_z
Ba1 Ba 0.000 0.500 0.244
Ga1 Ga 0.000 0.000 0.000
Ga2 Ga 0.000 0.500 0.878
Ag1 Ag 0.000 0.000 0.500
Ag2 Ag 0.000 0.500 0.645
Ag3 Ag 0.500 0.500 0.000
Ag4 Ag 0.500 0.500 0.500
```

Top 12 peaks for 15 to 90 degrees two-theta, most intense first:
two_theta, I_rel, hkl
31.6, 100, 1 1 2
39.1, 58, 2 0 0
30.3, 45, 1 0 3
44.0, 25, 1 0 5
66.1, 22, 3 1 2
50.3, 21, 2 1 3
41.9, 21, 1 1 4
56.5, 19, 2 2 0
60.3, 19, 2 1 5
78.4, 11, 2 0 8
55.6, 10, 1 1 6
87.2, 7, 3 2 5


(6)
Theoretical powder X-ray diffraction pattern of H3Pt2O6 for λ = 1.5418 Å (Cu Kα), from the PBE geometry in Alexandria.

Crystal structure
```
data_H3Pt2O6
_chemical_formula_sum 'H12 Pt8 O24'
_cell_length_a 9.253
_cell_length_b 5.432
_cell_length_c 9.356
_cell_angle_alpha 90.00
_cell_angle_beta 104.93
_cell_angle_gamma 90.00
_space_group_name_H-M_alt 'C 1 2/c 1'
_space_group_IT_number 15
_space_group_name_Hall '-C 2yc'
loop_
_atom_site_label
_atom_site_type_symbol
_atom_site_fract_x
_atom_site_fract_y
_atom_site_fract_z
H1 H 0.000 0.062 0.250
H2 H 0.180 0.392 0.779
Pt1 Pt 0.079 0.253 0.002
O1 O 0.042 0.067 0.384
O2 O 0.098 0.432 0.616
O3 O 0.221 0.410 0.892
```

Top 12 peaks for 15 to 90 degrees two-theta, most intense first:
two_theta, I_rel, hkl
19.6, 100, 0 0 2
20.3, 42, 1 1 -1
33.5, 39, 3 1 -1
37.9, 34, 3 1 1
22.7, 34, 1 1 1
38.7, 33, 0 2 2
40.3, 33, 3 1 -3
19.9, 30, 2 0 0
52.7, 23, 0 2 4
33.0, 19, 0 2 0
51.2, 18, 3 1 3
24.1, 18, 2 0 -2


(7)
Theoretical powder X-ray diffraction pattern of RbLiPdO2 for λ = 1.5418 Å (Cu Kα), from the PBE geometry in Alexandria.

Crystal structure
```
data_RbLiPdO2
_chemical_formula_sum 'Rb2 Li2 Pd2 O4'
_cell_length_a 6.189
_cell_length_b 3.673
_cell_length_c 6.600
_cell_angle_alpha 90.00
_cell_angle_beta 90.06
_cell_angle_gamma 90.00
_space_group_name_H-M_alt 'P 1 2/c 1'
_space_group_IT_number 13
_space_group_name_Hall '-P 2yc'
loop_
_atom_site_label
_atom_site_type_symbol
_atom_site_fract_x
_atom_site_fract_y
_atom_site_fract_z
Rb1 Rb 0.000 0.001 0.250
Li1 Li 0.500 0.000 0.000
Pd1 Pd 0.500 0.500 0.250
O1 O 0.294 0.500 0.000
```

Top 12 peaks for 15 to 90 degrees two-theta, most intense first:
two_theta, I_rel, hkl
28.3, 100, 1 1 0
39.5, 74, 1 1 2
39.9, 46, 2 0 2
58.4, 40, 3 1 2
28.9, 35, 2 0 0
27.0, 34, 0 0 2
65.5, 20, 2 2 2
63.6, 19, 1 1 -4
50.8, 14, 3 1 0
49.6, 14, 0 2 0
86.2, 10, 4 0 -4
55.7, 9, 0 0 4


(8)
Theoretical powder X-ray diffraction pattern of Np6USb10 for λ = 1.5418 Å (Cu Kα), from the PBE geometry in Alexandria.

Crystal structure
```
data_Np6USb10
_chemical_formula_sum 'Np6 U1 Sb10'
_cell_length_a 9.2828
_cell_length_b 9.2828
_cell_length_c 6.0919
_cell_angle_alpha 90.00
_cell_angle_beta 90.00
_cell_angle_gamma 120.00
_space_group_name_H-M_alt 'P -3 1 m'
_space_group_IT_number 162
_space_group_name_Hall '-P 3 2'
loop_
_atom_site_label
_atom_site_type_symbol
_atom_site_fract_x
_atom_site_fract_y
_atom_site_fract_z
Np1 Np 0.0000 0.3875 0.2447
U1 U 0.0000 0.0000 0.0000
Sb1 Sb 0.0000 0.2685 0.7335
Sb2 Sb 0.3333 0.6667 0.0000
Sb3 Sb 0.3333 0.6667 0.5000
```

Top 12 peaks for 15 to 90 degrees two-theta, most intense first:
two_theta, I_rel, hkl
35.2, 100, 2 -1 2
33.4, 91, 3 0 0
32.9, 88, 2 1 1
43.2, 39, 4 -1 1
24.1, 31, 2 -1 1
49.4, 26, 2 2 2
29.3, 23, 0 0 2
63.1, 22, 4 2 1
54.3, 22, 3 -1 3
61.0, 21, 5 -1 2
71.2, 20, 3 0 4
61.8, 19, 3 1 3


(9)
Theoretical powder X-ray diffraction pattern of CeHfTi2 for λ = 1.5418 Å (Cu Kα), from the PBE geometry in Alexandria.

Crystal structure
```
data_CeHfTi2
_chemical_formula_sum 'Ce1 Hf1 Ti2'
_cell_length_a 3.034
_cell_length_b 3.034
_cell_length_c 9.124
_cell_angle_alpha 90.00
_cell_angle_beta 90.00
_cell_angle_gamma 90.00
_space_group_name_H-M_alt 'P 4/m m m'
_space_group_IT_number 123
_space_group_name_Hall '-P 4 2'
loop_
_atom_site_label
_atom_site_type_symbol
_atom_site_fract_x
_atom_site_fract_y
_atom_site_fract_z
Ce1 Ce 0.000 0.000 0.000
Hf1 Hf 0.000 0.000 0.500
Ti1 Ti 0.500 0.500 0.267
```

Top 12 peaks for 15 to 90 degrees two-theta, most intense first:
two_theta, I_rel, hkl
35.5, 100, 1 0 2
42.1, 33, 1 1 0
19.5, 32, 0 0 2
72.7, 24, 2 1 2
29.4, 24, 1 0 0
59.1, 22, 1 1 4
39.5, 18, 0 0 4
46.8, 14, 1 1 2
50.0, 13, 1 0 4
69.1, 13, 1 0 6
75.2, 11, 2 0 4
61.1, 10, 2 0 0


(10)
Theoretical powder X-ray diffraction pattern of Ac2PtI2 for λ = 1.5418 Å (Cu Kα), from the PBE geometry in Alexandria.

Crystal structure
```
data_Ac2PtI2
_chemical_formula_sum 'Ac6 Pt3 I6'
_cell_length_a 4.4868
_cell_length_b 4.4868
_cell_length_c 36.3615
_cell_angle_alpha 90.00
_cell_angle_beta 90.00
_cell_angle_gamma 120.00
_space_group_name_H-M_alt 'R -3 m'
_space_group_IT_number 166
_space_group_name_Hall '-R 3 2"'
loop_
_atom_site_label
_atom_site_type_symbol
_atom_site_fract_x
_atom_site_fract_y
_atom_site_fract_z
Ac1 Ac 0.0000 0.0000 0.1199
Pt1 Pt 0.0000 0.0000 0.5000
I1 I 0.0000 0.0000 0.3897
```

Top 12 peaks for 15 to 90 degrees two-theta, most intense first:
two_theta, I_rel, hkl
30.3, 100, 0 1 8
24.9, 58, 1 0 4
40.2, 57, 1 1 0
33.8, 33, 1 0 10
51.1, 24, 2 0 8
26.0, 21, 0 1 5
67.0, 21, 1 2 8
23.4, 21, 0 1 2
61.8, 19, 1 1 18
35.7, 19, 0 1 11
46.3, 18, 1 0 16
40.9, 17, 1 1 3


(11)
Theoretical powder X-ray diffraction pattern of Pm3NdPt3 for λ = 1.5418 Å (Cu Kα), from the PBE geometry in Alexandria.

Crystal structure
```
data_Pm3NdPt3
_chemical_formula_sum 'Pm12 Nd4 Pt12'
_cell_length_a 9.440
_cell_length_b 10.770
_cell_length_c 7.286
_cell_angle_alpha 90.00
_cell_angle_beta 90.76
_cell_angle_gamma 90.00
_space_group_name_H-M_alt 'C 1 2/m 1'
_space_group_IT_number 12
_space_group_name_Hall '-C 2y'
loop_
_atom_site_label
_atom_site_type_symbol
_atom_site_fract_x
_atom_site_fract_y
_atom_site_fract_z
Pm1 Pm 0.000 0.177 0.000
Pm2 Pm 0.000 0.245 0.500
Pm3 Pm 0.166 0.500 0.875
Nd1 Nd 0.240 0.500 0.380
Pt1 Pt 0.060 0.000 0.306
Pt2 Pt 0.243 0.258 0.219
```

Top 12 peaks for 15 to 90 degrees two-theta, most intense first:
two_theta, I_rel, hkl
35.1, 100, 2 2 -2
33.3, 60, 0 4 0
31.2, 43, 2 0 2
41.8, 30, 4 2 0
36.5, 29, 1 3 2
35.5, 26, 2 2 2
38.1, 25, 4 0 0
31.9, 23, 3 1 -1
29.4, 22, 1 3 1
53.1, 22, 0 2 4
29.6, 19, 3 1 0
51.5, 18, 4 4 0


(12)
Theoretical powder X-ray diffraction pattern of Th4CoCN2 for λ = 1.5418 Å (Cu Kα), from the PBE geometry in Alexandria.

Crystal structure
```
data_Th4CoCN2
_chemical_formula_sum 'Th4 Co1 C1 N2'
_cell_length_a 6.486
_cell_length_b 3.753
_cell_length_c 6.550
_cell_angle_alpha 90.00
_cell_angle_beta 107.44
_cell_angle_gamma 90.00
_space_group_name_H-M_alt 'P 1 2/m 1'
_space_group_IT_number 10
_space_group_name_Hall '-P 2y'
loop_
_atom_site_label
_atom_site_type_symbol
_atom_site_fract_x
_atom_site_fract_y
_atom_site_fract_z
Th1 Th 0.233 0.000 0.237
Th2 Th 0.249 0.500 0.753
Co1 Co 0.500 0.500 0.500
C1 C 0.500 0.000 0.000
N1 N 0.000 0.000 0.500
N2 N 0.000 0.500 0.000
```

Top 12 peaks for 15 to 90 degrees two-theta, most intense first:
two_theta, I_rel, hkl
33.3, 100, 1 1 1
29.2, 89, 1 1 -1
34.1, 48, 2 0 -2
28.6, 47, 0 0 2
28.9, 45, 2 0 0
48.3, 36, 1 1 -3
48.6, 35, 3 1 -1
58.1, 21, 3 1 -3
60.6, 19, 2 2 -2
47.1, 18, 2 0 2
48.5, 18, 0 2 0
56.3, 15, 1 1 3


(13)
Theoretical powder X-ray diffraction pattern of Co5Se8 for λ = 1.5418 Å (Cu Kα), from the PBE geometry in Alexandria.

Crystal structure
```
data_Co5Se8
_chemical_formula_sum 'Co20 Se32'
_cell_length_a 9.856
_cell_length_b 9.856
_cell_length_c 9.856
_cell_angle_alpha 90.00
_cell_angle_beta 90.00
_cell_angle_gamma 90.00
_space_group_name_H-M_alt 'F -4 3 m'
_space_group_IT_number 216
_space_group_name_Hall 'F -4 2 3'
loop_
_atom_site_label
_atom_site_type_symbol
_atom_site_fract_x
_atom_site_fract_y
_atom_site_fract_z
Co1 Co 0.000 0.000 0.000
Co2 Co 0.121 0.121 0.379
Se1 Se 0.115 0.115 0.615
Se2 Se 0.133 0.133 0.133
```

Top 12 peaks for 15 to 90 degrees two-theta, most intense first:
two_theta, I_rel, hkl
36.5, 100, 4 0 0
52.5, 87, 4 4 0
31.4, 45, 2 2 2
15.6, 32, 1 1 1
88.8, 26, 8 4 0
30.1, 25, 3 1 1
48.0, 23, 5 1 1
65.6, 21, 4 4 4
62.5, 17, 6 2 2
77.5, 12, 8 0 0
67.9, 7, 5 5 1
86.0, 6, 6 6 2